This entry pairs a crystal structure of KMnTc with its theoretical PXRD pattern. Radiation: Cu Kα (λ = 1.5418 Å). Structure: the GGA-PBE geometry in Alexandria.

Atomic structure:
```
data_KMnTc
_space_group_name_H-M_alt 'P 1'
_space_group_IT_number 1
_space_group_name_Hall 'P 1'
_cell_length_a 2.852
_cell_length_b 4.098
_cell_length_c 12.337
_cell_angle_alpha 89.74
_cell_angle_beta 88.86
_cell_angle_gamma 90.00
loop_
_atom_site_label
_atom_site_type_symbol
_atom_site_fract_x
_atom_site_fract_y
_atom_site_fract_z
K1 K 0.000 0.000 0.000
K2 K 0.357 0.490 0.661
Mn1 Mn 0.402 0.994 0.437
Mn2 Mn 0.918 0.497 0.223
Tc1 Tc 0.417 0.996 0.261
Tc2 Tc 0.904 0.494 0.400
```

Peak list (10 most intense, 10 to 80 degrees two-theta, in order of rising 2θ)
hkl  2theta  I (rel.)
0 0 2  14.36  71
0 1 1  22.87  31
0 0 4  28.96  33
0 0 5  36.41  72
1 1 0  38.46  58
1 -1 1  39.05  75
1 1 -1  39.29  100
1 1 2  41.02  45
0 2 0  44.20  51
0 2 1  44.84  36

***

This entry pairs a crystal structure of V12Sn3Mo with its theoretical PXRD pattern. Radiation: Cu Kα (λ = 1.5418 Å). Structure: the GGA-PBE geometry in Alexandria.

Atomic structure:
```
data_V12Sn3Mo
_space_group_name_H-M_alt 'P m m m'
_space_group_IT_number 47
_space_group_name_Hall '-P 2 2'
_cell_length_a 4.926
_cell_length_b 4.948
_cell_length_c 9.852
_cell_angle_alpha 90.00
_cell_angle_beta 90.00
_cell_angle_gamma 90.00
loop_
_atom_site_label
_atom_site_type_symbol
_atom_site_fract_x
_atom_site_fract_y
_atom_site_fract_z
V1 V 0.000 0.000 0.118
V2 V 0.000 0.000 0.372
V3 V 0.249 0.500 0.500
V4 V 0.260 0.500 0.000
V5 V 0.500 0.241 0.241
Sn1 Sn 0.000 0.500 0.249
Sn2 Sn 0.500 0.000 0.500
Mo1 Mo 0.500 0.000 0.000
```

Peak list (10 most intense, 10 to 80 degrees two-theta, in order of rising 2θ)
hkl  2theta  I (rel.)
1 1 0  25.54  52
0 2 0  36.32  23
2 0 0  36.48  46
1 2 0  40.82  24
2 0 2  40.95  47
1 2 2  44.94  50
1 1 4  45.05  100
2 3 2  71.45  25
3 1 4  71.62  49
4 0 0  77.51  12